For K2Fe2As2O9, the GGA+U geometry in the Materials Project gives the calculated powder diffraction line list in this record (λ = 1.5418 Å (Cu Kα)).
Kinematic intensities with the Lorentz-polarization factor, no thermal factor.

Top 10 peaks for 10 to 80 degrees two-theta, low angle first:
| 2theta | d [Å] | intensity |
| --- | --- | --- |
| 14.1 | 6.288 | 25.9 |
| 21.1 | 4.218 | 34.3 |
| 28.4 | 3.144 | 30.9 |
| 28.8 | 3.097 | 100.0 |
| 29.6 | 3.022 | 30.3 |
| 30.6 | 2.921 | 41.4 |
| 31.3 | 2.855 | 25.1 |
| 35.6 | 2.520 | 32.6 |
| 36.0 | 2.493 | 33.7 |
| 57.1 | 1.614 | 27.6 |

Crystal structure
a b c (Å): 8.672 5.843 18.261
angles (deg): 90.00 90.00 90.00
Sites, in units of the cell vectors:
K 0.044 0.250 0.235
K 0.100 0.250 0.633
K 0.400 0.750 0.133
K 0.456 0.750 0.735
K 0.544 0.250 0.265
K 0.600 0.250 0.867
K 0.900 0.750 0.367
K 0.956 0.750 0.765
Fe 0.000 0.000 0.000
Fe 0.000 0.500 0.000
Fe 0.215 0.250 0.434
Fe 0.285 0.750 0.934
Fe 0.500 0.000 0.500
Fe 0.500 0.500 0.500
Fe 0.715 0.250 0.066
Fe 0.785 0.750 0.566
As 0.177 0.750 0.558
As 0.182 0.250 0.852
As 0.318 0.750 0.352
As 0.323 0.250 0.058
As 0.677 0.750 0.942
As 0.682 0.250 0.648
As 0.818 0.750 0.148
As 0.823 0.250 0.442
O 0.008 0.250 0.475
O 0.042 0.250 0.923
O 0.058 0.750 0.934
O 0.086 0.250 0.773
O 0.182 0.750 0.651
O 0.199 0.510 0.362
O 0.199 0.990 0.362
O 0.232 0.005 0.024
O 0.232 0.495 0.024
O 0.268 0.505 0.524
O 0.268 0.995 0.524
O 0.301 0.010 0.862
O 0.301 0.490 0.862
O 0.318 0.250 0.151
O 0.414 0.750 0.273
O 0.442 0.250 0.434
O 0.458 0.750 0.423
O 0.492 0.750 0.975
O 0.508 0.250 0.025
O 0.542 0.250 0.577
O 0.558 0.750 0.566
O 0.586 0.250 0.727
O 0.682 0.750 0.849
O 0.699 0.510 0.138
O 0.699 0.990 0.138
O 0.732 0.005 0.476
O 0.732 0.495 0.476
O 0.768 0.505 0.976
O 0.768 0.995 0.976
O 0.801 0.010 0.638
O 0.801 0.490 0.638
O 0.818 0.250 0.349
O 0.914 0.750 0.227
O 0.942 0.250 0.066
O 0.958 0.750 0.077
O 0.992 0.750 0.525



For LaFeAsO, the GGA+U geometry in the Materials Project gives the calculated powder diffraction line list in this record (λ = 1.5418 Å (Cu Kα)).
Kinematic intensities with the Lorentz-polarization factor, no thermal factor.

Top 10 peaks for 10 to 80 degrees two-theta, low angle first:
| 2theta | d [Å] | intensity |
| --- | --- | --- |
| 29.1 | 3.073 | 100.0 |
| 29.2 | 3.056 | 38.7 |
| 30.6 | 2.923 | 27.3 |
| 36.4 | 2.470 | 15.3 |
| 36.5 | 2.459 | 21.9 |
| 43.7 | 2.069 | 22.3 |
| 43.8 | 2.065 | 22.1 |
| 50.5 | 1.807 | 20.4 |
| 50.8 | 1.798 | 20.8 |
| 53.3 | 1.717 | 24.5 |

Crystal structure
a b c (Å): 4.139 8.259 9.160
angles (deg): 89.59 89.94 89.97
Sites, in units of the cell vectors:
La 0.000 0.000 0.000
La 0.001 0.499 0.000
La 0.500 0.752 0.738
La 0.501 0.251 0.737
Fe 0.008 0.752 0.369
Fe 0.500 0.499 0.369
Fe 0.509 0.998 0.367
Fe 0.999 0.255 0.371
As 0.498 0.247 0.200
As 0.498 0.743 0.198
As 0.998 0.005 0.541
As 0.999 0.504 0.536
O 0.001 0.250 0.868
O 0.001 0.751 0.869
O 0.501 0.000 0.870
O 0.501 0.500 0.868



For La2FeAs2O, the GGA+U geometry in the Materials Project gives the calculated powder diffraction line list in this record (λ = 1.5418 Å (Cu Kα)).
Kinematic intensities with the Lorentz-polarization factor, no thermal factor.

Top 10 peaks for 10 to 80 degrees two-theta, low angle first:
| 2theta | d [Å] | intensity |
| --- | --- | --- |
| 23.6 | 3.767 | 19.0 |
| 25.5 | 3.492 | 100.0 |
| 35.0 | 2.561 | 27.7 |
| 36.4 | 2.470 | 38.9 |
| 43.8 | 2.065 | 15.0 |
| 44.4 | 2.039 | 23.1 |
| 51.9 | 1.761 | 14.4 |
| 52.4 | 1.746 | 13.3 |
| 59.2 | 1.562 | 18.3 |
| 71.1 | 1.326 | 10.8 |

Crystal structure
a b c (Å): 3.492 3.492 15.070
angles (deg): 90.00 90.00 90.00
Sites, in units of the cell vectors:
La 0.000 0.000 0.140
La 0.000 0.000 0.860
Fe 0.000 0.000 0.500
As 0.000 0.000 0.343
As 0.000 0.000 0.657
O 0.000 0.000 0.000



For LaFeAsO, the GGA+U geometry in the Materials Project gives the calculated powder diffraction line list in this record (λ = 1.5418 Å (Cu Kα)).
Kinematic intensities with the Lorentz-polarization factor, no thermal factor.

Top 10 peaks for 10 to 80 degrees two-theta, low angle first:
| 2theta | d [Å] | intensity |
| --- | --- | --- |
| 29.0 | 3.081 | 100.0 |
| 29.2 | 3.061 | 38.2 |
| 30.6 | 2.922 | 27.3 |
| 32.1 | 2.786 | 25.0 |
| 36.4 | 2.471 | 27.9 |
| 43.7 | 2.072 | 22.4 |
| 43.9 | 2.060 | 22.0 |
| 50.3 | 1.813 | 19.6 |
| 50.6 | 1.804 | 21.0 |
| 53.4 | 1.716 | 26.7 |

Crystal structure
a b c (Å): 10.062 4.145 8.241
angles (deg): 90.00 113.77 90.00
Sites, in units of the cell vectors:
La 0.130 0.249 0.189
La 0.130 0.251 0.689
La 0.870 0.749 0.311
La 0.870 0.751 0.811
Fe 0.499 0.741 0.872
Fe 0.499 0.759 0.372
Fe 0.501 0.241 0.628
Fe 0.501 0.259 0.128
As 0.328 0.749 0.534
As 0.328 0.751 0.034
As 0.672 0.249 0.966
As 0.672 0.251 0.466
O 0.000 0.250 0.375
O 0.000 0.250 0.875
O 0.000 0.750 0.125
O 0.000 0.750 0.625



For LaFeAsO, the GGA+U geometry in the Materials Project gives the calculated powder diffraction line list in this record (λ = 1.5418 Å (Cu Kα)).
Kinematic intensities with the Lorentz-polarization factor, no thermal factor.

Top 10 peaks for 10 to 80 degrees two-theta, low angle first:
| 2theta | d [Å] | intensity |
| --- | --- | --- |
| 29.1 | 3.072 | 100.0 |
| 30.4 | 2.940 | 10.3 |
| 30.8 | 2.906 | 10.2 |
| 36.3 | 2.476 | 11.1 |
| 36.6 | 2.458 | 21.8 |
| 43.8 | 2.067 | 32.9 |
| 50.4 | 1.809 | 15.1 |
| 50.7 | 1.801 | 15.3 |
| 53.2 | 1.722 | 18.3 |
| 53.7 | 1.708 | 17.8 |

Crystal structure
a b c (Å): 10.069 10.069 10.069
angles (deg): 146.45 146.05 48.48
Sites, in units of the cell vectors:
La 0.185 0.435 0.750
La 0.315 0.065 0.250
La 0.685 0.935 0.750
La 0.815 0.565 0.250
Fe 0.250 0.485 0.235
Fe 0.250 0.985 0.735
Fe 0.750 0.015 0.265
Fe 0.750 0.515 0.765
As 0.085 0.835 0.250
As 0.415 0.665 0.750
As 0.585 0.335 0.250
As 0.915 0.165 0.750
O 0.001 0.250 0.251
O 0.499 0.750 0.249
O 0.501 0.250 0.751
O 0.999 0.750 0.749



For La4FeAs4Ru3O4, the GGA+U geometry in the Materials Project gives the calculated powder diffraction line list in this record (λ = 1.5418 Å (Cu Kα)).
Kinematic intensities with the Lorentz-polarization factor, no thermal factor.

Top 10 peaks for 10 to 80 degrees two-theta, low angle first:
| 2theta | d [Å] | intensity |
| --- | --- | --- |
| 29.7 | 3.003 | 100.0 |
| 30.5 | 2.928 | 7.3 |
| 30.7 | 2.910 | 11.6 |
| 32.4 | 2.763 | 28.2 |
| 37.1 | 2.426 | 33.9 |
| 44.0 | 2.058 | 41.1 |
| 52.2 | 1.753 | 40.0 |
| 54.0 | 1.698 | 36.5 |
| 64.0 | 1.455 | 13.0 |
| 72.1 | 1.310 | 7.5 |

Crystal structure
a b c (Å): 5.821 5.821 8.785
angles (deg): 90.00 90.00 90.00
Sites, in units of the cell vectors:
La 0.249 0.249 0.137
La 0.249 0.751 0.863
La 0.751 0.249 0.863
La 0.751 0.751 0.137
Fe 0.500 0.500 0.500
As 0.239 0.239 0.658
As 0.239 0.761 0.342
As 0.761 0.239 0.342
As 0.761 0.761 0.658
Ru 0.000 0.000 0.500
Ru 0.000 0.500 0.500
Ru 0.500 0.000 0.500
O 0.000 0.000 0.000
O 0.000 0.500 0.000
O 0.500 0.000 0.000
O 0.500 0.500 0.000



For La4FeAs4Ru3O4, the GGA+U geometry in the Materials Project gives the calculated powder diffraction line list in this record (λ = 1.5418 Å (Cu Kα)).
Kinematic intensities with the Lorentz-polarization factor, no thermal factor.

Top 10 peaks for 10 to 80 degrees two-theta, low angle first:
| 2theta | d [Å] | intensity |
| --- | --- | --- |
| 29.8 | 2.995 | 100.0 |
| 30.5 | 2.929 | 12.0 |
| 30.9 | 2.890 | 7.4 |
| 32.3 | 2.775 | 27.5 |
| 37.0 | 2.427 | 33.2 |
| 43.7 | 2.071 | 42.3 |
| 52.5 | 1.742 | 39.8 |
| 53.8 | 1.704 | 37.7 |
| 63.5 | 1.465 | 13.4 |
| 71.7 | 1.316 | 7.9 |

Crystal structure
a b c (Å): 4.143 4.143 17.341
angles (deg): 90.00 90.00 90.00
Sites, in units of the cell vectors:
La 0.000 0.500 0.179
La 0.000 0.500 0.683
La 0.500 0.000 0.317
La 0.500 0.000 0.821
Fe 0.000 0.000 0.500
As 0.000 0.500 0.419
As 0.000 0.500 0.925
As 0.500 0.000 0.075
As 0.500 0.000 0.581
Ru 0.000 0.000 0.000
Ru 0.500 0.500 0.000
Ru 0.500 0.500 0.500
O 0.000 0.000 0.247
O 0.000 0.000 0.753
O 0.500 0.500 0.248
O 0.500 0.500 0.752



For La3YFe4As4O4, the GGA+U geometry in the Materials Project gives the calculated powder diffraction line list in this record (λ = 1.5418 Å (Cu Kα)).
Kinematic intensities with the Lorentz-polarization factor, no thermal factor.

Top 10 peaks for 10 to 80 degrees two-theta, low angle first:
| 2theta | d [Å] | intensity |
| --- | --- | --- |
| 29.3 | 3.044 | 100.0 |
| 31.1 | 2.872 | 19.1 |
| 32.7 | 2.741 | 18.2 |
| 36.7 | 2.447 | 12.3 |
| 36.9 | 2.436 | 24.7 |
| 44.6 | 2.031 | 33.8 |
| 50.9 | 1.795 | 29.7 |
| 54.3 | 1.689 | 35.0 |
| 65.0 | 1.435 | 13.5 |
| 72.8 | 1.299 | 7.2 |

Crystal structure
a b c (Å): 4.061 4.061 18.392
angles (deg): 90.00 90.00 90.00
Sites, in units of the cell vectors:
La 0.000 0.000 0.000
La 0.000 0.000 0.499
La 0.500 0.500 0.867
Y 0.500 0.500 0.374
Fe 0.000 0.500 0.186
Fe 0.000 0.500 0.684
Fe 0.500 0.000 0.186
Fe 0.500 0.000 0.684
As 0.000 0.000 0.275
As 0.000 0.000 0.767
As 0.500 0.500 0.098
As 0.500 0.500 0.599
O 0.000 0.500 0.431
O 0.000 0.500 0.933
O 0.500 0.000 0.431
O 0.500 0.000 0.933



For LaYFe2As2O2, the GGA+U geometry in the Materials Project gives the calculated powder diffraction line list in this record (λ = 1.5418 Å (Cu Kα)).
Kinematic intensities with the Lorentz-polarization factor, no thermal factor.

Top 10 peaks for 10 to 80 degrees two-theta, low angle first:
| 2theta | d [Å] | intensity |
| --- | --- | --- |
| 29.4 | 3.033 | 100.0 |
| 30.7 | 2.909 | 18.9 |
| 32.3 | 2.767 | 20.4 |
| 36.8 | 2.441 | 27.9 |
| 37.1 | 2.421 | 15.9 |
| 44.0 | 2.057 | 37.4 |
| 51.4 | 1.777 | 28.6 |
| 53.9 | 1.702 | 36.0 |
| 64.0 | 1.454 | 11.6 |
| 69.5 | 1.353 | 8.8 |

Crystal structure
a b c (Å): 4.114 4.114 8.981
angles (deg): 90.00 90.00 90.00
Sites, in units of the cell vectors:
La 0.000 0.000 0.000
Y 0.500 0.500 0.750
Fe 0.000 0.500 0.372
Fe 0.500 0.000 0.372
As 0.000 0.000 0.549
As 0.500 0.500 0.196
O 0.000 0.500 0.863
O 0.500 0.000 0.863



For La3YFe4As4O4, the GGA+U geometry in the Materials Project gives the calculated powder diffraction line list in this record (λ = 1.5418 Å (Cu Kα)).
Kinematic intensities with the Lorentz-polarization factor, no thermal factor.

Top 10 peaks for 10 to 80 degrees two-theta, low angle first:
| 2theta | d [Å] | intensity |
| --- | --- | --- |
| 29.1 | 3.069 | 100.0 |
| 30.9 | 2.894 | 19.6 |
| 32.4 | 2.763 | 19.7 |
| 36.4 | 2.468 | 15.5 |
| 36.6 | 2.456 | 24.7 |
| 44.3 | 2.047 | 34.5 |
| 50.4 | 1.810 | 29.0 |
| 53.8 | 1.703 | 35.1 |
| 64.4 | 1.447 | 13.4 |
| 68.2 | 1.375 | 8.1 |

Crystal structure
a b c (Å): 4.091 8.190 9.279
angles (deg): 90.00 90.00 90.00
Sites, in units of the cell vectors:
La 0.000 0.000 0.000
La 0.500 0.252 0.740
La 0.500 0.748 0.740
Y 0.000 0.500 0.985
Fe 0.000 0.251 0.366
Fe 0.000 0.749 0.366
Fe 0.500 0.000 0.366
Fe 0.500 0.500 0.367
As 0.000 0.000 0.543
As 0.000 0.500 0.544
As 0.500 0.252 0.191
As 0.500 0.748 0.191
O 0.000 0.256 0.872
O 0.000 0.744 0.872
O 0.500 0.000 0.868
O 0.500 0.500 0.875